For LaNd, a structure optimized by DFT (PBE) gives the calculated powder diffraction line list in this record (Cu Ka).
No peak broadening, texture or thermal motion is included.

Peak list (6 most intense, 2θ = 10–90°, low angle first)
2θ/deg  I (rel.)
30.00  100
30.99  25
31.49  22
44.76  16
54.51  19
60.10  15

Structure:
```
LaNd
1.0
3.598 0.000 0.000
0.000 5.771 0.000
-1.812 0.000 6.948
La Nd
2 2
Cartesian
-0.002 1.443 0.859
1.788 4.328 6.089
-0.008 1.443 4.380
1.794 4.328 2.567
```



For La5Nd6, a structure optimized by DFT (PBE) gives the calculated powder diffraction line list in this record (Cu Ka).
No peak broadening, texture or thermal motion is included.

Peak list (6 most intense, 2θ = 10–90°, low angle first)
2θ/deg  I (rel.)
30.48  37
30.65  21
31.02  100
31.94  14
44.73  11
54.54  29

Structure:
```
La5Nd6
1.0
2.933 -8.406 0.000
2.933 8.406 0.000
-0.001 0.000 8.203
La Nd
5 6
Cartesian
0.000 0.000 0.000
2.933 3.184 4.102
2.933 2.834 0.000
2.933 -2.834 0.000
2.933 -3.184 4.102
2.934 6.171 2.353
2.931 6.171 5.850
2.927 0.000 5.877
2.938 0.000 2.326
2.934 -6.171 2.353
2.931 -6.171 5.850
```



For La3Nd8, a structure optimized by DFT (PBE) gives the calculated powder diffraction line list in this record (Cu Ka).
No peak broadening, texture or thermal motion is included.

Peak list (6 most intense, 2θ = 10–90°, low angle first)
2θ/deg  I (rel.)
29.54  100
34.07  17
34.26  17
34.38  17
49.14  24
58.22  15

Structure:
```
La3Nd8
1.0
5.878 -2.608 0.000
5.878 2.608 0.000
-3.472 0.000 12.889
La Nd
3 8
Cartesian
0.000 0.000 0.000
-1.152 0.000 8.213
9.435 0.000 4.677
1.186 0.000 3.519
0.052 0.000 11.714
2.376 0.000 7.024
4.713 0.000 2.334
3.571 0.000 10.555
5.907 0.000 5.866
8.232 0.000 1.175
7.098 0.000 9.371
```



For La13Nd2, a structure optimized by DFT (PBE) gives the calculated powder diffraction line list in this record (Cu Ka).
No peak broadening, texture or thermal motion is included.

Peak list (6 most intense, 2θ = 10–90°, low angle first)
2θ/deg  I (rel.)
30.13  55
30.29  100
43.33  18
53.62  20
53.75  17
60.12  15

Structure:
```
La13Nd2
1.0
6.922 0.000 0.000
1.225 9.253 0.000
1.244 3.534 8.551
La Nd
13 2
Cartesian
0.000 0.000 0.000
2.180 8.659 3.726
1.848 2.608 1.661
4.052 11.201 5.377
4.084 9.322 8.240
3.738 5.146 3.404
4.681 8.325 1.438
4.709 4.462 7.114
5.652 7.642 5.147
5.306 3.466 0.311
5.338 1.587 3.174
7.542 10.180 6.891
7.210 4.129 4.825
2.178 6.701 6.552
7.212 6.087 1.999
```



For La2Nd3, a structure optimized by DFT (PBE) gives the calculated powder diffraction line list in this record (Cu Ka).
No peak broadening, texture or thermal motion is included.

Peak list (6 most intense, 2θ = 10–90°, low angle first)
2θ/deg  I (rel.)
27.32  33
28.61  60
29.69  100
31.11  39
31.22  91
34.64  60

Structure:
```
La2Nd3
1.0
-3.247 8.488 3.264
3.247 -8.488 3.264
3.247 8.488 -3.264
La Nd
4 6
Cartesian
0.785 3.245 0.000
4.032 5.243 0.000
-0.785 3.245 3.264
2.461 5.243 3.264
3.887 1.640 0.000
0.000 0.000 1.632
0.640 6.848 0.000
2.607 1.640 3.264
0.000 0.000 4.897
-0.640 6.848 3.264
```



For La6Nd, a structure optimized by DFT (PBE) gives the calculated powder diffraction line list in this record (Cu Ka).
No peak broadening, texture or thermal motion is included.

Peak list (6 most intense, 2θ = 10–90°, low angle first)
2θ/deg  I (rel.)
29.95  95
30.31  100
43.13  32
52.95  14
53.63  32
53.85  17

Structure:
```
La6Nd
1.0
7.802 4.504 1.225
-7.802 4.504 1.225
0.000 -9.009 1.225
La Nd
6 1
Cartesian
-3.328 -0.467 0.858
2.068 -2.648 0.858
1.259 3.115 0.858
-1.259 -3.115 2.818
-2.068 2.648 2.818
3.328 0.467 2.818
0.000 0.000 1.838
```



For La2NdNi9, a structure optimized by DFT (PBE) gives the calculated powder diffraction line list in this record (Cu Ka).
No peak broadening, texture or thermal motion is included.

Peak list (6 most intense, 2θ = 10–90°, low angle first)
2θ/deg  I (rel.)
32.33  47
35.25  43
35.66  51
41.57  42
41.89  100
75.53  23

Structure:
```
La2NdNi9
1.0
2.518 1.454 8.362
-2.518 1.454 8.362
0.000 -2.907 8.362
La Nd Ni
2 1 9
Cartesian
0.000 0.000 3.465
0.000 0.000 21.621
0.000 0.000 0.000
-1.253 -0.724 10.370
0.000 0.000 8.341
0.000 -1.447 14.717
-1.253 0.724 14.717
0.000 0.000 12.543
1.253 -0.724 10.370
0.000 1.447 10.370
0.000 0.000 16.746
1.253 0.724 14.717
```



For LaNd3Ni2, a structure optimized by DFT (PBE) gives the calculated powder diffraction line list in this record (Cu Ka).
No peak broadening, texture or thermal motion is included.

Peak list (6 most intense, 2θ = 10–90°, low angle first)
2θ/deg  I (rel.)
28.37  66
29.64  49
30.22  56
31.77  100
32.16  50
34.92  51

Structure:
```
LaNd3Ni2
1.0
8.415 -1.992 0.000
8.415 1.992 0.000
-6.846 0.000 9.869
La Nd Ni
2 6 4
Cartesian
0.880 0.000 2.506
9.104 0.000 7.363
-2.541 0.000 7.399
6.601 0.000 0.574
3.239 0.000 5.486
6.745 0.000 4.383
3.384 0.000 9.294
12.525 0.000 2.470
3.591 0.000 0.474
0.134 0.000 5.449
9.851 0.000 4.420
6.394 0.000 9.395
```



For LaNdO3, a structure optimized by DFT (PBE) gives the calculated powder diffraction line list in this record (Cu Ka).
No peak broadening, texture or thermal motion is included.

Peak list (6 most intense, 2θ = 10–90°, low angle first)
2θ/deg  I (rel.)
27.03  100
30.03  92
40.84  39
43.89  46
51.52  38
53.33  27

Structure:
```
LaNdO3
1.0
2.975 1.718 5.726
-2.975 1.718 5.726
0.000 -3.436 5.726
La Nd O
2 2 6
Cartesian
0.000 0.000 2.469
0.000 0.000 14.709
0.000 0.000 6.070
0.000 0.000 11.108
-1.246 -1.682 7.149
-0.834 -1.920 10.029
-0.834 1.920 7.149
-1.246 1.682 10.029
2.080 -0.238 7.149
2.080 0.238 10.029
```



For La2Nd2O, a structure optimized by DFT (PBE) gives the calculated powder diffraction line list in this record (Cu Ka).
No peak broadening, texture or thermal motion is included.

Peak list (6 most intense, 2θ = 10–90°, low angle first)
2θ/deg  I (rel.)
29.93  100
34.45  39
35.18  18
50.07  27
58.95  30
59.92  14

Structure:
```
La2Nd2O
1.0
5.206 0.000 0.000
0.000 5.206 0.000
0.000 0.000 5.102
La Nd O
2 2 1
Cartesian
0.000 2.603 0.000
2.603 0.000 0.000
0.000 0.000 2.551
2.603 2.603 2.551
0.000 0.000 0.000
```



For LaNdO3, a structure optimized by DFT (PBE) gives the calculated powder diffraction line list in this record (Cu Ka).
No peak broadening, texture or thermal motion is included.

Peak list (6 most intense, 2θ = 10–90°, low angle first)
2θ/deg  I (rel.)
16.23  100
28.31  72
32.08  23
39.86  73
43.31  23
58.10  24

Structure:
```
LaNdO3
1.0
6.306 0.000 0.000
-3.153 5.461 0.000
0.000 0.000 3.245
La Nd O
1 1 3
Cartesian
0.000 0.000 0.000
3.153 1.820 0.000
1.596 0.921 1.623
4.710 0.921 1.623
3.153 3.618 1.623
```



For La3NdO4, a structure optimized by DFT (PBE) gives the calculated powder diffraction line list in this record (Cu Ka).
No peak broadening, texture or thermal motion is included.

Peak list (6 most intense, 2θ = 10–90°, low angle first)
2θ/deg  I (rel.)
30.06  92
30.29  90
34.92  50
35.02  100
50.28  69
59.63  42

Structure:
```
La3NdO4
1.0
6.303 0.000 0.000
0.000 7.207 0.000
-2.083 0.000 5.943
La Nd O
6 2 8
Cartesian
-0.521 0.901 1.486
-1.562 2.704 4.458
-0.521 4.503 1.486
-1.562 6.305 4.458
1.589 0.901 4.458
2.631 6.305 1.486
2.631 2.703 1.486
1.589 4.503 4.458
1.598 0.924 0.017
0.556 6.283 2.989
0.573 2.725 2.977
1.614 4.482 0.005
2.606 2.725 5.938
3.648 4.482 2.967
3.664 0.924 2.955
2.623 6.283 5.927
```



For LaNdOsO6, a structure optimized by DFT (PBE) gives the calculated powder diffraction line list in this record (Cu Ka).
No peak broadening, texture or thermal motion is included.

Peak list (6 most intense, 2θ = 10–90°, low angle first)
2θ/deg  I (rel.)
25.84  100
31.13  59
40.88  29
49.60  46
52.26  29
55.38  18

Structure:
```
LaNdOsO6
1.0
5.747 0.000 0.000
-2.873 4.977 0.000
0.000 0.000 9.565
La Nd Os O
2 2 2 12
Cartesian
0.000 3.318 2.391
2.873 1.659 7.174
0.000 0.000 0.000
0.000 0.000 4.783
0.000 3.318 7.174
2.873 1.659 2.391
-0.749 1.891 6.077
-1.610 3.382 8.271
0.749 1.891 8.271
-0.861 4.680 6.077
2.013 0.297 1.294
1.263 1.595 3.489
1.610 3.382 6.077
0.861 4.680 8.271
3.734 0.297 3.489
2.124 3.086 1.294
4.484 1.595 1.294
3.623 3.086 3.489
```